The following is a calculated powder X-ray diffraction pattern of Ca2FePt. It was derived from a crystal structure in Alexandria, relaxed with PBE, using Cu Ka.
Kinematic intensities with the Lorentz-polarization factor, no thermal factor.

Main lines, by intensity (2θ = 10–90°):
Position (°2θ), I (rel.)
30.68, 100
16.75, 100
22.22, 100
39.19, 91
32.77, 56
40.14, 50
59.34, 31
41.80, 31
42.53, 29
20.90, 28

Structure:
```
Ca2FePt
1.0
4.251 0.000 0.000
0.000 2.161 5.292
0.000 -2.161 5.292
Ca Fe Pt
2 1 1
direct
0.000 0.000 0.000 Ca
0.500 0.287 0.287 Ca
0.000 0.696 0.696 Fe
0.500 0.584 0.584 Pt
```

The following is a calculated powder X-ray diffraction pattern of In8HgBi6. It was derived from a crystal structure in Alexandria, relaxed with PBE, using Cu Ka.
Kinematic intensities with the Lorentz-polarization factor, no thermal factor.

Main lines, by intensity (2θ = 10–90°):
Position (°2θ), I (rel.)
32.31, 100
31.93, 55
32.45, 51
33.37, 48
61.51, 37
32.64, 36
29.65, 33
32.53, 24
40.78, 23
33.69, 21

Structure:
```
In8HgBi6
1.0
8.326 0.000 0.000
3.711 7.559 0.000
3.731 2.487 7.141
In Hg Bi
8 1 6
direct
0.089 0.077 0.072 In
0.225 0.606 0.229 In
0.227 0.229 0.603 In
0.389 0.775 0.775 In
0.611 0.225 0.225 In
0.773 0.771 0.397 In
0.775 0.394 0.771 In
0.911 0.923 0.928 In
0.500 0.500 0.500 Hg
0.048 0.665 0.664 Bi
0.333 0.951 0.346 Bi
0.336 0.347 0.951 Bi
0.664 0.653 0.049 Bi
0.667 0.049 0.654 Bi
0.952 0.335 0.336 Bi
```

The following is a calculated powder X-ray diffraction pattern of ZrNp3As4. It was derived from a crystal structure in Alexandria, relaxed with PBE, using Cu Ka.
Kinematic intensities with the Lorentz-polarization factor, no thermal factor.

Main lines, by intensity (2θ = 10–90°):
Position (°2θ), I (rel.)
31.28, 100
44.83, 50
74.16, 23
26.93, 18
27.07, 18
55.52, 13
55.81, 13
82.85, 13
44.62, 13
44.97, 12

Structure:
```
ZrNp3As4
1.0
4.062 -5.713 0.000
4.062 5.713 0.000
0.000 0.000 4.032
Zr Np As
1 3 4
direct
0.000 0.000 0.000 Zr
0.000 0.500 0.500 Np
0.500 0.000 0.500 Np
0.500 0.500 0.000 Np
0.240 0.240 0.500 As
0.244 0.756 0.000 As
0.756 0.244 0.000 As
0.760 0.760 0.500 As
```

The following is a calculated powder X-ray diffraction pattern of CaZn2Pd4. It was derived from a crystal structure in Alexandria, relaxed with PBE, using Cu Ka.
Kinematic intensities with the Lorentz-polarization factor, no thermal factor.

Main lines, by intensity (2θ = 10–90°):
Position (°2θ), I (rel.)
43.05, 100
35.96, 91
44.40, 66
37.61, 52
20.18, 31
21.14, 29
41.61, 26
38.88, 23
41.01, 23
65.78, 21

Structure:
```
CaZn2Pd4
1.0
0.000 4.401 4.990
2.724 0.000 4.990
2.724 4.401 0.000
Ca Zn Pd
1 2 4
direct
0.000 0.000 0.000 Ca
0.305 0.305 0.695 Zn
0.695 0.695 0.305 Zn
0.250 0.250 0.250 Pd
0.315 0.685 0.315 Pd
0.685 0.315 0.685 Pd
0.750 0.750 0.750 Pd
```

The following is a calculated powder X-ray diffraction pattern of La3PmPt. It was derived from a crystal structure in Alexandria, relaxed with PBE, using Cu Ka.
Kinematic intensities with the Lorentz-polarization factor, no thermal factor.

Main lines, by intensity (2θ = 10–90°):
Position (°2θ), I (rel.)
29.17, 100
38.23, 67
29.28, 43
21.88, 34
45.17, 32
50.21, 31
44.94, 23
17.71, 23
27.93, 16
54.55, 15

Structure:
```
La3PmPt
1.0
8.067 0.000 0.000
0.000 6.943 0.000
0.000 0.000 6.389
La Pm Pt
6 2 2
direct
0.000 0.147 0.000 La
0.250 0.308 0.503 La
0.250 0.692 0.003 La
0.500 0.853 0.500 La
0.750 0.308 0.503 La
0.750 0.692 0.003 La
0.000 0.849 0.514 Pm
0.500 0.151 0.014 Pm
0.000 0.504 0.255 Pt
0.500 0.496 0.755 Pt
```

The following is a calculated powder X-ray diffraction pattern of Np2Fe12Si7. It was derived from a crystal structure in Alexandria, relaxed with PBE, using Cu Ka.
Kinematic intensities with the Lorentz-polarization factor, no thermal factor.

Main lines, by intensity (2θ = 10–90°):
Position (°2θ), I (rel.)
38.68, 100
26.73, 25
19.30, 20
52.67, 16
56.23, 15
33.76, 15
49.65, 15
39.18, 14
11.11, 14
33.19, 14

Structure:
```
Np2Fe12Si7
1.0
9.196 0.000 0.000
-4.598 7.964 0.000
0.000 0.000 3.672
Np Fe Si
2 12 7
direct
0.000 0.000 0.000 Np
0.333 0.667 0.500 Np
0.037 0.277 0.500 Fe
0.113 0.720 0.000 Fe
0.240 0.963 0.500 Fe
0.280 0.393 0.000 Fe
0.384 0.185 0.000 Fe
0.557 0.435 0.500 Fe
0.565 0.121 0.500 Fe
0.607 0.887 0.000 Fe
0.723 0.760 0.500 Fe
0.801 0.616 0.000 Fe
0.815 0.199 0.000 Fe
0.879 0.443 0.500 Fe
0.058 0.449 0.000 Si
0.266 0.233 0.500 Si
0.391 0.942 0.000 Si
0.551 0.609 0.000 Si
0.667 0.333 0.000 Si
0.767 0.033 0.500 Si
0.967 0.734 0.500 Si
```

The following is a calculated powder X-ray diffraction pattern of Rb2PuInTe4. It was derived from a crystal structure in Alexandria, relaxed with PBE, using Cu Ka.
Kinematic intensities with the Lorentz-polarization factor, no thermal factor.

Main lines, by intensity (2θ = 10–90°):
Position (°2θ), I (rel.)
30.45, 100
24.99, 71
28.15, 46
13.97, 35
46.79, 30
39.35, 23
43.20, 23
45.23, 19
51.28, 17
70.75, 17

Structure:
```
Rb2PuInTe4
1.0
-4.483 4.483 3.883
4.483 -4.483 3.883
4.483 4.483 -3.883
Rb Pu In Te
2 1 1 4
direct
0.000 0.500 0.500 Rb
0.500 0.000 0.500 Rb
0.000 0.000 0.000 Pu
0.500 0.500 0.000 In
0.094 0.094 0.647 Te
0.447 0.447 0.353 Te
0.553 0.906 0.000 Te
0.906 0.553 0.000 Te
```

The following is a calculated powder X-ray diffraction pattern of Y4Ga21Ni10. It was derived from a crystal structure in Alexandria, relaxed with PBE, using Cu Ka.
Kinematic intensities with the Lorentz-polarization factor, no thermal factor.

Main lines, by intensity (2θ = 10–90°):
Position (°2θ), I (rel.)
43.87, 100
37.56, 70
37.05, 66
38.49, 65
45.94, 49
47.78, 47
37.66, 43
37.97, 41
47.06, 23
41.79, 21

Structure:
```
Y4Ga21Ni10
1.0
10.475 -2.064 0.000
10.475 2.064 0.000
-8.645 0.000 12.641
Y Ga Ni
4 21 10
direct
0.121 0.121 0.335 Y
0.229 0.229 0.824 Y
0.771 0.771 0.176 Y
0.879 0.879 0.665 Y
0.006 0.006 0.092 Ga
0.066 0.066 0.797 Ga
0.117 0.117 0.554 Ga
0.200 0.200 0.002 Ga
0.249 0.249 0.295 Ga
0.297 0.297 0.497 Ga
0.373 0.373 0.804 Ga
0.387 0.387 0.296 Ga
0.399 0.399 0.000 Ga
0.460 0.460 0.632 Ga
0.500 0.500 0.500 Ga
0.540 0.540 0.368 Ga
0.601 0.601 0.000 Ga
0.613 0.613 0.704 Ga
0.627 0.627 0.196 Ga
0.703 0.703 0.503 Ga
0.751 0.751 0.705 Ga
0.800 0.800 0.998 Ga
0.883 0.883 0.446 Ga
0.934 0.934 0.203 Ga
0.994 0.994 0.908 Ga
0.023 0.023 0.606 Ni
0.133 0.133 0.106 Ni
0.249 0.249 0.616 Ni
0.347 0.347 0.110 Ni
0.498 0.498 0.817 Ni
0.502 0.502 0.183 Ni
0.653 0.653 0.890 Ni
0.751 0.751 0.384 Ni
0.867 0.867 0.894 Ni
0.977 0.977 0.394 Ni
```

Repeat the fourth record exactly.
The following is a calculated powder X-ray diffraction pattern of CaZn2Pd4. It was derived from a crystal structure in Alexandria, relaxed with PBE, using Cu Ka.
Kinematic intensities with the Lorentz-polarization factor, no thermal factor.

Main lines, by intensity (2θ = 10–90°):
Position (°2θ), I (rel.)
43.05, 100
35.96, 91
44.40, 66
37.61, 52
20.18, 31
21.14, 29
41.61, 26
38.88, 23
41.01, 23
65.78, 21

Structure:
```
CaZn2Pd4
1.0
0.000 4.401 4.990
2.724 0.000 4.990
2.724 4.401 0.000
Ca Zn Pd
1 2 4
direct
0.000 0.000 0.000 Ca
0.305 0.305 0.695 Zn
0.695 0.695 0.305 Zn
0.250 0.250 0.250 Pd
0.315 0.685 0.315 Pd
0.685 0.315 0.685 Pd
0.750 0.750 0.750 Pd
```

Repeat the first record exactly.
The following is a calculated powder X-ray diffraction pattern of Ca2FePt. It was derived from a crystal structure in Alexandria, relaxed with PBE, using Cu Ka.
Kinematic intensities with the Lorentz-polarization factor, no thermal factor.

Main lines, by intensity (2θ = 10–90°):
Position (°2θ), I (rel.)
30.68, 100
16.75, 100
22.22, 100
39.19, 91
32.77, 56
40.14, 50
59.34, 31
41.80, 31
42.53, 29
20.90, 28

Structure:
```
Ca2FePt
1.0
4.251 0.000 0.000
0.000 2.161 5.292
0.000 -2.161 5.292
Ca Fe Pt
2 1 1
direct
0.000 0.000 0.000 Ca
0.500 0.287 0.287 Ca
0.000 0.696 0.696 Fe
0.500 0.584 0.584 Pt
```